PrDyAg2Bi4: theoretical powder X-ray diffraction pattern (Cu Kα, 1.54184 Å), based on DFT lattice parameters and positions (GGA-PBE).

Cell lengths 4.5765, 4.5765, 10.4306 Å; angles 90.00, 90.00, 90.00 degrees
Fractional coordinates of all 8 atoms:
Pr1 0.0000 0.0000 0.0000
Dy1 0.5000 0.5000 0.4971
Ag1 0.0000 0.5000 0.7407
Ag2 0.5000 0.0000 0.7407
Bi1 0.0000 0.0000 0.5548
Bi2 0.0000 0.5000 0.2532
Bi3 0.5000 0.0000 0.2532
Bi4 0.5000 0.5000 0.9289

Main lines, in order of falling intensity (2θ = 5–70°):
Position (°2θ), Rel. int.
32.56, 100
39.38, 36
67.12, 25
53.26, 14
56.91, 13
34.39, 12
28.89, 10
25.90, 10
25.62, 9
47.57, 8

=====

Ta2In2NiPt: theoretical powder X-ray diffraction pattern (Cu Kα, 1.54184 Å), based on DFT lattice parameters and positions (GGA-PBE).

Cell lengths 7.5218, 4.3303, 14.3681 Å; angles 90.00, 99.80, 90.00 degrees
Fractional coordinates of all 24 atoms:
Ta1 0.0000 0.0000 0.0000
Ta2 0.0002 0.5000 0.4918
Ta3 0.2435 0.0000 0.7413
Ta4 0.2445 0.5000 0.2431
Ta5 0.4908 0.0000 0.4892
Ta6 0.4987 0.5000 0.9998
Ta7 0.7462 0.0000 0.2409
Ta8 0.7517 0.5000 0.7417
In1 0.1209 0.5000 0.8614
In2 0.1308 0.0000 0.3650
In3 0.3588 0.5000 0.6120
In4 0.3743 0.0000 0.1282
In5 0.6074 0.5000 0.3629
In6 0.6217 0.0000 0.8680
In7 0.8753 0.5000 0.1277
In8 0.8848 0.0000 0.6200
Ni1 0.0593 0.0000 0.1822
Ni2 0.0593 0.5000 0.6786
Ni3 0.3058 0.5000 0.4282
Ni4 0.5590 0.5000 0.1810
Pt1 0.3094 0.0000 0.9349
Pt2 0.5591 0.0000 0.6776
Pt3 0.8093 0.0000 0.4286
Pt4 0.8131 0.5000 0.9350

Main lines, in order of falling intensity (2θ = 5–70°):
Position (°2θ), Rel. int.
41.64, 100
25.15, 34
41.73, 20
29.17, 16
60.48, 13
49.34, 11
29.04, 8
60.18, 6
51.63, 6
49.17, 6

=====

HoErAlCo2: theoretical powder X-ray diffraction pattern (Cu Kα, 1.54184 Å), based on DFT lattice parameters and positions (GGA-PBE).

Cell lengths 4.0092, 5.4206, 8.2403 Å; angles 90.00, 90.00, 90.00 degrees
Fractional coordinates of all 10 atoms:
Ho1 0.0000 0.0000 0.0000
Ho2 0.5000 0.5000 0.5000
Er1 0.0000 0.0000 0.5913
Er2 0.5000 0.5000 0.0913
Al1 0.0000 0.5000 0.7958
Al2 0.5000 0.0000 0.2958
Co1 0.0000 0.2764 0.2955
Co2 0.0000 0.7236 0.2955
Co3 0.5000 0.2236 0.7955
Co4 0.5000 0.7764 0.7955

Main lines, in order of falling intensity (2θ = 5–70°):
Position (°2θ), Rel. int.
35.36, 100
39.80, 88
27.67, 71
41.69, 34
36.68, 28
45.23, 27
61.81, 25
55.81, 17
33.05, 16
19.60, 15